# 1
For Ac7Pr4Y, a cell relaxed with GGA-PBE gives the computed PXRD pattern in this record (copper Kα).

Atomic structure:
a = 6.745 Å, b = 7.746 Å, c = 9.690 Å
α = 89.64°, β = 76.67°, γ = 89.92°
Positions (direct):
Ac: 0.000 0.000 0.000
Ac: 0.219 0.500 0.332
Ac: 0.282 0.754 0.666
Ac: 0.497 0.250 0.996
Ac: 0.503 0.750 0.004
Ac: 0.718 0.246 0.334
Ac: 0.781 0.500 0.668
Pr: 0.220 0.001 0.334
Pr: 0.275 0.250 0.670
Pr: 0.725 0.750 0.330
Pr: 0.780 0.999 0.666
Y: 0.000 0.500 0.000

The 10 most intense peaks (2θ from 10° to 90°), by angle:
index	two_theta	d [Å]	I/Imax
1 2 0	26.7	3.336	37.6
0 0 3	28.4	3.143	74.7
2 0 2	29.4	3.041	100.0
1 2 -1	29.5	3.030	49.8
2 0 -1	30.8	2.899	44.7
1 2 2	30.9	2.895	41.7
1 -2 2	31.1	2.879	42.0
3 -2 1	46.7	1.945	39.0
-3 2 2	55.5	1.656	23.9
0 4 3	55.6	1.653	23.5

***

# 2
For MnNi5Rh2, a cell relaxed with GGA-PBE gives the computed PXRD pattern in this record (copper Kα).

Atomic structure:
a = 5.175 Å, b = 10.361 Å, c = 3.606 Å
α = 90.00°, β = 90.00°, γ = 90.00°
Positions (direct):
Mn: 0.000 0.000 0.000
Mn: 0.500 0.500 0.000
Ni: 0.000 0.500 0.000
Ni: 0.006 0.249 0.000
Ni: 0.243 0.626 0.500
Ni: 0.257 0.126 0.500
Ni: 0.494 0.749 0.000
Ni: 0.500 0.000 0.000
Ni: 0.506 0.251 0.000
Ni: 0.743 0.874 0.500
Ni: 0.757 0.374 0.500
Ni: 0.994 0.751 0.000
Rh: 0.246 0.874 0.500
Rh: 0.254 0.374 0.500
Rh: 0.746 0.626 0.500
Rh: 0.754 0.126 0.500

The 10 most intense peaks (2θ from 10° to 90°), by angle:
index	two_theta	d [Å]	I/Imax
1 2 0	24.3	3.661	4.4
0 0 1	24.7	3.606	2.6
1 2 1	34.9	2.569	3.4
0 4 1	43.0	2.103	100.0
2 4 0	49.8	1.831	31.8
0 0 2	50.6	1.803	15.2
0 8 0	73.1	1.294	9.4
2 4 2	73.8	1.285	18.4
2 8 1	88.8	1.102	22.5
0 4 3	90.0	1.090	5.5

***

# 3
For CuGe2F8, a cell relaxed with GGA-PBE gives the computed PXRD pattern in this record (copper Kα).

Atomic structure:
a = 6.537 Å, b = 6.537 Å, c = 4.027 Å
α = 90.00°, β = 90.00°, γ = 120.00°
Positions (direct):
Cu: 0.000 0.000 0.000
Ge: 0.333 0.667 0.241
Ge: 0.667 0.333 0.759
F: 0.171 0.343 0.239
F: 0.171 0.829 0.239
F: 0.333 0.667 0.746
F: 0.343 0.171 0.761
F: 0.657 0.829 0.239
F: 0.667 0.333 0.254
F: 0.829 0.171 0.761
F: 0.829 0.657 0.761

The 10 most intense peaks (2θ from 10° to 90°), by angle:
index	two_theta	d [Å]	I/Imax
0 1 1	27.2	3.282	91.7
1 1 0	27.3	3.269	100.0
1 1 1	35.4	2.538	11.4
0 1 2	48.0	1.897	19.0
3 0 0	48.2	1.889	54.9
2 0 2	56.1	1.641	23.7
2 2 0	56.3	1.634	33.1
1 2 2	63.4	1.466	13.7
3 1 1	63.6	1.463	15.4
4 1 0	77.2	1.236	18.9

***

- Which formula does entry 3 have?
  CuGe2F8